Record 1
# Er4Al
Calculated powder X-ray diffraction pattern, Cu Ka. Input: a crystal structure in the Materials Project, relaxed with GGA-PBE.

Largest 6 diffraction maxima, low angle first, 5 to 70 degrees two-theta:
two_theta  I (rel.)
28.0  100
32.4  43
35.4  18
42.5  29
46.5  30
55.1  27

Structure:
```
Er4Al
1.0
0.0000 5.5237 5.5237
5.5237 0.0000 5.5237
5.5237 5.5237 0.0000
Er Al
8 2
direct
0.1916 0.7695 0.7695
0.2305 0.2305 0.2305
0.2305 0.2305 0.8084
0.2305 0.8084 0.2305
0.7695 0.1916 0.7695
0.7695 0.7695 0.1916
0.7695 0.7695 0.7695
0.8084 0.2305 0.2305
0.3750 0.3750 0.3750
0.6250 0.6250 0.6250
```



Record 2
# RbMnSb
Calculated powder X-ray diffraction pattern, Cu Ka. Input: a crystal structure in the Materials Project, relaxed with GGA-PBE.

Largest 6 diffraction maxima, low angle first, 5 to 70 degrees two-theta:
two_theta  I (rel.)
10.2  35
26.5  40
27.8  100
33.7  48
37.8  47
47.5  45

Structure:
```
RbMnSb
1.0
4.7629 0.0000 0.0000
0.0000 4.7629 0.0000
0.0000 0.0000 8.6873
Rb Mn Sb
2 2 2
direct
0.2500 0.2500 0.1565
0.7500 0.7500 0.8435
0.2500 0.7500 0.5000
0.7500 0.2500 0.5000
0.2500 0.2500 0.6737
0.7500 0.7500 0.3263
```



Record 3
# CeNdAl4
Calculated powder X-ray diffraction pattern, Cu Ka. Input: a crystal structure in the Materials Project, relaxed with GGA-PBE.

Largest 6 diffraction maxima, low angle first, 5 to 70 degrees two-theta:
two_theta  I (rel.)
19.3  57
31.8  97
37.4  100
56.6  37
60.3  33
66.3  22

Structure:
```
CeNdAl4
1.0
0.0000 3.9849 3.9849
3.9849 0.0000 3.9849
3.9849 3.9849 0.0000
Ce Nd Al
1 1 4
direct
0.0000 0.0000 0.0000
0.2500 0.2500 0.2500
0.1231 0.6256 0.6256
0.6256 0.1231 0.6256
0.6256 0.6256 0.1231
0.6256 0.6256 0.6256
```



Record 4
# NdAlNi4
Calculated powder X-ray diffraction pattern, Cu Ka. Input: a crystal structure in the Materials Project, relaxed with GGA-PBE.

Largest 6 diffraction maxima, low angle first, 5 to 70 degrees two-theta:
two_theta  I (rel.)
30.6  74
34.9  28
40.5  54
42.2  100
46.9  25
63.6  27

Structure:
```
NdAlNi4
1.0
5.1407 0.0000 0.0000
-2.5703 4.4520 0.0000
0.0000 0.0000 3.8777
Nd Al Ni
1 1 4
direct
0.0000 0.0000 0.0000
0.3333 0.6667 0.0000
0.5023 0.0046 0.5000
0.5023 0.4977 0.5000
0.6667 0.3333 0.0000
0.9954 0.4977 0.5000
```



Record 5
# Tb2InAu2
Calculated powder X-ray diffraction pattern, Cu Ka. Input: a crystal structure in the Materials Project, relaxed with GGA-PBE.

Largest 6 diffraction maxima, low angle first, 5 to 70 degrees two-theta:
two_theta  I (rel.)
15.6  13
32.8  16
34.7  100
35.3  40
61.8  16
67.6  15

Structure:
```
Tb2InAu2
1.0
8.0392 0.0000 0.0000
0.0000 8.0392 0.0000
0.0000 0.0000 3.7211
Tb In Au
4 2 4
direct
0.1701 0.3299 0.0000
0.3299 0.8299 0.0000
0.6701 0.1701 0.0000
0.8299 0.6701 0.0000
0.0000 0.0000 0.5000
0.5000 0.5000 0.5000
0.1281 0.6281 0.5000
0.3719 0.1281 0.5000
0.6281 0.8719 0.5000
0.8719 0.3719 0.5000
```